The following is a calculated powder diffraction line list of Sm2Dy2Ag3. It was derived from a PBE-relaxed structure, using a wavelength of 1.5418 Å.
Neutral-atom scattering factors, no anomalous dispersion.

Cell and atoms:
Cell lengths 5.123, 5.127, 8.908 Å; angles 73.32, 89.96, 60.05 degrees
Element x y z (fractional)
1 Sm 0.128 0.247 0.380
2 Sm 0.872 0.753 0.620
3 Dy 0.377 0.748 0.129
4 Dy 0.623 0.252 0.871
5 Ag 0.000 0.500 0.000
6 Ag 0.251 0.996 0.756
7 Ag 0.749 0.004 0.244

Largest 8 diffraction maxima, in order of rising 2θ, 10° ≤ 2θ ≤ 80°:
index, 2θ/deg, d/Å, intensity
0 1 2, 24.53, 3.630, 211
1 1 3, 34.91, 2.570, 1000
2 1 0, 35.01, 2.563, 997
2 0 2, 50.27, 1.815, 351
1 0 5, 62.53, 1.485, 177
1 3 -1, 62.66, 1.483, 119
3 3 1, 62.78, 1.480, 415
4 2 0, 73.97, 1.281, 110



The following is a calculated powder diffraction line list of Sm3DyAg2. It was derived from a PBE-relaxed structure, using a wavelength of 1.5418 Å.
Neutral-atom scattering factors, no anomalous dispersion.

Cell and atoms:
Cell lengths 5.191, 9.303, 6.994 Å; angles 90.00, 90.00, 90.00 degrees
Element x y z (fractional)
1 Sm 0.000 0.062 0.000
2 Sm 0.000 0.333 0.352
3 Sm 0.000 0.667 0.852
4 Sm 0.000 0.938 0.500
5 Sm 0.500 0.170 0.668
6 Sm 0.500 0.830 0.168
7 Dy 0.500 0.439 0.022
8 Dy 0.500 0.561 0.522
9 Ag 0.000 0.349 0.781
10 Ag 0.000 0.651 0.281
11 Ag 0.500 0.155 0.240
12 Ag 0.500 0.845 0.740

Largest 8 diffraction maxima, in order of rising 2θ, 10° ≤ 2θ ≤ 80°:
index, 2θ/deg, d/Å, intensity
1 2 1, 28.76, 3.104, 667
1 0 2, 30.83, 2.900, 362
0 2 2, 32.02, 2.795, 298
1 1 2, 32.33, 2.769, 1000
1 3 0, 33.67, 2.662, 840
2 0 0, 34.56, 2.596, 665
0 3 2, 38.79, 2.322, 230
1 4 3, 58.84, 1.569, 217



The following is a calculated powder diffraction line list of DyAgSnTe3. It was derived from a PBE-relaxed structure, using a wavelength of 1.5418 Å.
Neutral-atom scattering factors, no anomalous dispersion.

Cell and atoms:
Cell lengths 8.896, 4.338, 9.858 Å; angles 90.00, 104.40, 90.00 degrees
Element x y z (fractional)
1 Dy 0.178 0.250 0.175
2 Dy 0.822 0.750 0.825
3 Ag 0.415 0.750 0.415
4 Ag 0.585 0.250 0.585
5 Sn 0.308 0.750 0.757
6 Sn 0.692 0.250 0.243
7 Te 0.075 0.250 0.847
8 Te 0.240 0.250 0.496
9 Te 0.408 0.750 0.127
10 Te 0.592 0.250 0.873
11 Te 0.760 0.750 0.504
12 Te 0.925 0.750 0.153

Largest 8 diffraction maxima, in order of rising 2θ, 10° ≤ 2θ ≤ 80°:
index, 2θ/deg, d/Å, intensity
1 0 -1, 12.00, 7.374, 298
0 0 3, 28.03, 3.183, 571
2 1 -1, 29.06, 3.073, 567
2 1 0, 29.22, 3.057, 1000
1 1 -3, 34.41, 2.606, 416
0 1 3, 34.97, 2.566, 290
4 0 -1, 40.58, 2.223, 292
0 2 0, 41.64, 2.169, 408